For Pr8Nd3Th, a structure optimized by DFT (PBE) gives the theoretical X-ray powder pattern in this record (Cu Kα (λ = 1.5418 Å)).

Atomic structure:
```
data_Pr8Nd3Th
_space_group_name_H-M_alt 'I 2 2 2'
_space_group_IT_number 23
_cell_length_a 6.6828
_cell_length_b 11.6140
_cell_length_c 11.8040
_cell_angle_alpha 90.00
_cell_angle_beta 90.00
_cell_angle_gamma 90.00
loop_
_space_group_symop_operation_xyz
'x,y,z'
'-x,-y,z'
'x,-y,-z'
'-x,y,-z'
'x+1/2,y+1/2,z+1/2'
'-x+1/2,-y+1/2,z+1/2'
'x+1/2,-y+1/2,-z+1/2'
'-x+1/2,y+1/2,-z+1/2'
loop_
_atom_site_label
_atom_site_fract_x
_atom_site_fract_y
_atom_site_fract_z
Pr1 0.9998 0.1639 0.2485
Pr2 0.2445 0.2540 0.9954
Nd1 0.0000 0.0000 0.5000
Nd2 0.0000 0.5000 0.2698
Th1 0.0000 0.0000 0.0000
```

Top 8 peaks for 2θ from 10° to 80°, by intensity:
| 2θ/deg | intensity | index |
| --- | --- | --- |
| 30.71 | 100 | 1 3 2 |
| 34.47 | 48 | 0 4 2 |
| 30.29 | 39 | 0 0 4 |
| 30.85 | 32 | 2 2 0 |
| 43.78 | 23 | 2 2 4 |
| 15.29 | 20 | 1 1 0 |
| 49.68 | 19 | 3 3 2 |
| 63.91 | 18 | 2 6 4 |